No. 1
Structure and theoretical powder diffraction line list of NdCdSi (a structure optimized by DFT (GGA-PBE); copper Kα).
Intensities are scaled so that the largest is 100.

Most intense lines, 2θ = 10–90°, by angle:
two_theta  d (Å)  intensity
21.19  4.194  13
31.13  2.873  37
31.31  2.856  100
31.61  2.831  14
33.54  2.672  68
39.33  2.291  26
41.74  2.164  24
46.56  1.951  17
52.98  1.728  17
58.63  1.575  42

Crystal structure
```
NdCdSi
1.0
4.3277 0.0000 0.0000
0.0000 16.9836 0.0000
0.0000 0.0000 3.9015
Nd Cd Si
4 4 4
Direct
0.0000 0.0935 0.2500
0.0000 0.9065 0.7500
0.5000 0.4065 0.7500
0.5000 0.5935 0.2500
0.0000 0.2879 0.2500
0.0000 0.7121 0.7500
0.5000 0.2121 0.7500
0.5000 0.7879 0.2500
0.0000 0.4576 0.2500
0.0000 0.5424 0.7500
0.5000 0.0424 0.7500
0.5000 0.9576 0.2500
```


No. 2
Structure and theoretical powder diffraction line list of LiCu2Tc (a structure optimized by DFT (GGA-PBE); copper Kα).
Intensities are scaled so that the largest is 100.

Most intense lines, 2θ = 10–90°, by angle:
two_theta  d (Å)  intensity
10.76  8.225  100
37.17  2.419  21
41.92  2.155  95
44.04  2.056  20
49.78  1.832  14
52.28  1.750  12
68.62  1.368  10
70.69  1.333  9
79.53  1.205  13
87.96  1.110  10

Crystal structure
```
LiCu2Tc
1.0
3.4996 0.0000 0.0000
0.0000 3.6634 0.0000
0.0000 0.0000 8.2247
Li Cu Tc
2 4 2
Direct
0.0000 0.0000 0.0000
0.5000 0.5000 0.0000
0.0000 0.5000 0.2496
0.0000 0.5000 0.7504
0.5000 0.0000 0.2496
0.5000 0.0000 0.7504
0.0000 0.0000 0.5000
0.5000 0.5000 0.5000
```


No. 3
Structure and theoretical powder diffraction line list of RbNaNp2Te4 (a structure optimized by DFT (GGA-PBE); copper Kα).
Intensities are scaled so that the largest is 100.

Most intense lines, 2θ = 10–90°, by angle:
two_theta  d (Å)  intensity
10.77  8.217  67
20.00  4.440  82
24.67  3.609  41
26.06  3.419  37
26.63  3.348  80
28.27  3.157  100
37.97  2.370  37
38.63  2.331  73
39.16  2.300  62
39.39  2.287  42

Crystal structure
```
RbNaNp2Te4
1.0
2.3294 -7.5520 0.0000
2.3294 7.5520 0.0000
0.0000 0.0000 16.4346
Rb Na Np Te
2 2 4 8
Direct
0.1187 0.8813 0.7500
0.8813 0.1187 0.2500
0.1692 0.8308 0.2500
0.8308 0.1692 0.7500
0.3713 0.6287 0.5638
0.3713 0.6287 0.9362
0.6287 0.3713 0.0638
0.6287 0.3713 0.4362
0.0000 0.0000 0.0000
0.0000 0.0000 0.5000
0.2660 0.7340 0.0981
0.2660 0.7340 0.4019
0.4417 0.5583 0.7500
0.5583 0.4417 0.2500
0.7340 0.2660 0.5981
0.7340 0.2660 0.9019
```


No. 4
Structure and theoretical powder diffraction line list of KSmMgSe3 (a structure optimized by DFT (GGA-PBE); copper Kα).
Intensities are scaled so that the largest is 100.

Most intense lines, 2θ = 10–90°, by angle:
two_theta  d (Å)  intensity
11.53  7.674  100
22.98  3.870  17
27.44  3.250  43
28.68  3.112  86
29.05  3.074  38
36.11  2.487  17
37.51  2.398  24
41.88  2.157  23
42.56  2.124  37
45.56  1.991  23

Crystal structure
```
KSmMgSe3
1.0
9.1285 0.0000 0.0000
0.0000 4.3139 0.0000
-2.8456 0.0000 9.7508
K Sm Mg Se
2 2 2 6
Direct
0.2010 0.2500 0.2187
0.7990 0.7500 0.7813
0.3318 0.7500 0.8623
0.6682 0.2500 0.1377
0.0848 0.2500 0.6066
0.9152 0.7500 0.3934
0.1095 0.2500 0.8616
0.2044 0.7500 0.5382
0.4569 0.7500 0.1559
0.5431 0.2500 0.8441
0.7956 0.2500 0.4618
0.8905 0.7500 0.1384
```


No. 5
Structure and theoretical powder diffraction line list of La9In3C2 (a structure optimized by DFT (GGA-PBE); copper Kα).
Intensities are scaled so that the largest is 100.

Most intense lines, 2θ = 10–90°, by angle:
two_theta  d (Å)  intensity
29.67  3.011  34
29.84  2.995  100
34.54  2.597  72
49.54  1.840  25
49.76  1.833  25
58.81  1.570  14
59.04  1.565  43
61.98  1.497  13
80.82  1.189  11
83.02  1.163  11

Crystal structure
```
La9In3C2
1.0
7.3301 0.0000 0.0000
-3.6650 6.3480 0.0000
0.0000 0.0000 9.0330
La In C
9 3 2
Direct
0.0000 0.5000 0.0000
0.1707 0.3414 0.6710
0.1707 0.8293 0.6710
0.3414 0.1707 0.3290
0.5000 0.0000 0.0000
0.5000 0.5000 0.0000
0.6586 0.8293 0.6710
0.8293 0.1707 0.3290
0.8293 0.6586 0.3290
0.0000 0.0000 0.0000
0.3333 0.6667 0.3336
0.6667 0.3333 0.6664
0.3333 0.6667 0.8201
0.6667 0.3333 0.1799
```